Starting from the GGA-PBE geometry in Alexandria, the XRD peak list of Zr2PaMn9 was computed for copper Kα.
Lines closer than 0.1° are merged.

Cell and atoms:
abc: 4.8567 4.8567 16.5740
angles: 90.00 90.00 120.00
Sites, in units of the cell vectors:
Zr 0.3333 0.6667 0.0375
Zr 0.3333 0.6667 0.4625
Zr 0.6667 0.3333 0.5375
Zr 0.6667 0.3333 0.9625
Pa 0.3333 0.6667 0.2500
Pa 0.6667 0.3333 0.7500
Mn 0.0000 0.0000 0.0000
Mn 0.0000 0.0000 0.2500
Mn 0.0000 0.0000 0.5000
Mn 0.0000 0.0000 0.7500
Mn 0.1692 0.3383 0.6243
Mn 0.1692 0.3383 0.8757
Mn 0.1692 0.8308 0.6243
Mn 0.1692 0.8308 0.8757
Mn 0.3333 0.6667 0.7500
Mn 0.3383 0.1692 0.1243
Mn 0.3383 0.1692 0.3757
Mn 0.6617 0.8308 0.6243
Mn 0.6617 0.8308 0.8757
Mn 0.6667 0.3333 0.2500
Mn 0.8308 0.1692 0.1243
Mn 0.8308 0.1692 0.3757
Mn 0.8308 0.6617 0.1243
Mn 0.8308 0.6617 0.3757

Main lines, low angle first (2θ = 10–90°):
Position (°2θ)  I/Imax
34.4  67
37.0  45
43.2  100
43.4  40
65.1  20
71.0  22